Y3Tm2ScAs2Os: theoretical powder X-ray diffraction pattern (a wavelength of 1.5418 Å), based on a GGA-PBE-relaxed structure.
No peak broadening, texture or thermal motion is included.

Cell and atoms:
Cell: 4.127 13.406 7.753 Å, 90.00 90.00 90.00°
Space group Amm2 (No. 38)
Inequivalent atoms, fractional coordinates:
Y1 0.000 0.000 0.000
Y2 0.000 0.201 0.382
Tm1 0.500 0.119 0.705
Sc1 0.500 0.000 0.341
As1 0.500 0.165 0.089
Os1 0.000 0.000 0.564

Main lines, sorted by position (2θ from 10° to 90°):
- 2θ = 13.19°, I 67
- 2θ = 31.68°, I 76
- 2θ = 34.46°, I 100
- 2θ = 35.40°, I 50
- 2θ = 40.33°, I 31
- 2θ = 41.81°, I 62
- 2θ = 43.87°, I 27
- 2θ = 57.59°, I 24
- 2θ = 61.10°, I 18
- 2θ = 64.63°, I 32

---

Y3TmSc2As2Os: theoretical powder X-ray diffraction pattern (a wavelength of 1.5418 Å), based on a GGA-PBE-relaxed structure.
No peak broadening, texture or thermal motion is included.

Cell and atoms:
Cell: 4.115 13.204 7.660 Å, 90.00 90.00 90.00°
Space group Amm2 (No. 38)
Inequivalent atoms, fractional coordinates:
Y1 0.000 0.000 0.000
Y2 0.000 0.206 0.607
Tm1 0.500 0.000 0.639
Sc1 0.500 0.120 0.284
As1 0.500 0.169 0.906
Os1 0.000 0.000 0.388

Main lines, sorted by position (2θ from 10° to 90°):
- 2θ = 13.39°, I 52
- 2θ = 25.48°, I 21
- 2θ = 27.00°, I 18
- 2θ = 31.98°, I 59
- 2θ = 34.78°, I 100
- 2θ = 35.84°, I 23
- 2θ = 40.86°, I 18
- 2θ = 42.26°, I 37
- 2θ = 44.01°, I 24
- 2θ = 65.62°, I 21